Theoretical X-ray diffraction stick pattern
Compound: Tl9CdIn4
Radiation: Cu Kα
Structure: a GGA-PBE-relaxed structure
Lines closer than 0.1° are merged.

Peak list (10 most intense, 2θ = 10–90°, low angle first)
- 2θ 27.49, intensity 35.5
- 2θ 30.94, intensity 14.4
- 2θ 32.29, intensity 42.6
- 2θ 32.89, intensity 100.0
- 2θ 34.41, intensity 29.8
- 2θ 35.87, intensity 25.3
- 2θ 36.74, intensity 18.7
- 2θ 53.99, intensity 21.1
- 2θ 56.28, intensity 27.5
- 2θ 56.81, intensity 24.1

a b c (Å): 10.0129 10.0129 9.7845
angles (deg): 90.00 90.00 120.00
Positions (direct):
Tl (0.0648, 0.5324, 0.2500)
Tl (0.2018, 0.4036, 0.5403)
Tl (0.2018, 0.4036, 0.9597)
Tl (0.2018, 0.7982, 0.5403)
Tl (0.2018, 0.7982, 0.9597)
Tl (0.4036, 0.2018, 0.0403)
Tl (0.4036, 0.2018, 0.4597)
Tl (0.4676, 0.5324, 0.2500)
Tl (0.4676, 0.9352, 0.2500)
Tl (0.5324, 0.0648, 0.7500)
Tl (0.5324, 0.4676, 0.7500)
Tl (0.5964, 0.7982, 0.5403)
Tl (0.5964, 0.7982, 0.9597)
Tl (0.7982, 0.2018, 0.0403)
Tl (0.7982, 0.2018, 0.4597)
Tl (0.7982, 0.5964, 0.0403)
Tl (0.7982, 0.5964, 0.4597)
Tl (0.9352, 0.4676, 0.7500)
Cd (0.3333, 0.6667, 0.7500)
Cd (0.6667, 0.3333, 0.2500)
In (0.0000, 0.0000, 0.0000)
In (0.0000, 0.0000, 0.5000)
In (0.1132, 0.2264, 0.2500)
In (0.1132, 0.8868, 0.2500)
In (0.2264, 0.1132, 0.7500)
In (0.7736, 0.8868, 0.2500)
In (0.8868, 0.1132, 0.7500)
In (0.8868, 0.7736, 0.7500)